No. 1
For UCoNi, the PBE geometry in the Materials Project gives the computed PXRD pattern in this record (a wavelength of 1.5418 Å).
Kinematic intensities with the Lorentz-polarization factor, no thermal factor.

Atomic structure:
a b c (Å): 4.9193 4.9193 4.9193
angles (deg): 120.80 119.35 89.87
Atoms (fractional coordinates):
U  0.3767  0.1267  0.2500
U  0.6233  0.8733  0.7500
Co  0.0000  0.5000  0.5000
Co  0.5000  0.5000  0.0000
Ni  0.0000  0.0000  0.5000
Ni  0.0000  0.5000  0.0000

Principal peaks in the range 2θ = 5–70°, low angle first:
- 2θ = 22.0°, rel. 31
- 2θ = 22.3°, rel. 30
- 2θ = 36.2°, rel. 26
- 2θ = 36.5°, rel. 100
- 2θ = 37.0°, rel. 24
- 2θ = 42.9°, rel. 60
- 2θ = 43.0°, rel. 30
- 2θ = 43.2°, rel. 32
- 2θ = 43.4°, rel. 62
- 2θ = 65.3°, rel. 19

No. 2
For U3Co2Ni4, the PBE geometry in the Materials Project gives the computed PXRD pattern in this record (a wavelength of 1.5418 Å).
Kinematic intensities with the Lorentz-polarization factor, no thermal factor.

Atomic structure:
a b c (Å): 4.9205 5.0066 11.9893
angles (deg): 88.81 89.60 61.02
Atoms (fractional coordinates):
U  0.0020  0.4939  0.1216
U  0.3288  0.8421  0.5435
U  0.3318  0.8280  0.7924
U  0.6682  0.1720  0.2076
U  0.6712  0.1579  0.4565
U  0.9980  0.5061  0.8784
Co  0.0000  0.0000  0.0000
Co  0.1676  0.1661  0.3339
Co  0.5000  0.5000  0.0000
Co  0.8324  0.8339  0.6661
Ni  0.0000  0.5000  0.5000
Ni  0.1675  0.6654  0.3332
Ni  0.3331  0.3335  0.6668
Ni  0.3337  0.8335  0.1665
Ni  0.5000  0.0000  0.0000
Ni  0.6663  0.1665  0.8335
Ni  0.6669  0.6665  0.3332
Ni  0.8325  0.3346  0.6668

Principal peaks in the range 2θ = 5–70°, low angle first:
- 2θ = 21.5°, rel. 35
- 2θ = 22.2°, rel. 53
- 2θ = 35.6°, rel. 52
- 2θ = 35.9°, rel. 100
- 2θ = 36.5°, rel. 47
- 2θ = 36.6°, rel. 47
- 2θ = 36.9°, rel. 46
- 2θ = 42.1°, rel. 55
- 2θ = 42.7°, rel. 63
- 2θ = 43.0°, rel. 92

No. 3
For V6CoNi, the PBE geometry in the Materials Project gives the computed PXRD pattern in this record (a wavelength of 1.5418 Å).
Kinematic intensities with the Lorentz-polarization factor, no thermal factor.

Atomic structure:
a b c (Å): 4.6511 4.6511 4.6511
angles (deg): 90.00 90.00 90.00
Atoms (fractional coordinates):
V  0.0000  0.2497  0.5000
V  0.0000  0.7503  0.5000
V  0.2497  0.5000  0.0000
V  0.5000  0.0000  0.2497
V  0.5000  0.0000  0.7503
V  0.7503  0.5000  0.0000
Co  0.0000  0.0000  0.0000
Ni  0.5000  0.5000  0.5000

Principal peaks in the range 2θ = 5–70°, low angle first:
- 2θ = 27.1°, rel. 3
- 2θ = 38.7°, rel. 46
- 2θ = 43.5°, rel. 100
- 2θ = 47.9°, rel. 96
- 2θ = 63.2°, rel. 1